(1)
Tl2Pd9Pb: theoretical XRD peak list (λ = 1.5418 Å (Cu Kα)), based on DFT lattice parameters and positions (PBE).
Neutral-atom scattering factors, no anomalous dispersion.

Structural model:
```
Tl2Pd9Pb
1.0
-2.077 2.077 11.914
2.077 -2.077 11.914
2.077 2.077 -11.914
Tl Pd Pb
2 9 1
direct
0.000 0.000 0.000
0.165 0.165 0.000
0.083 0.583 0.500
0.249 0.749 0.500
0.330 0.330 0.000
0.415 0.915 0.500
0.499 0.499 0.000
0.583 0.083 0.500
0.667 0.667 0.000
0.749 0.249 0.500
0.915 0.415 0.500
0.833 0.833 0.000
```

The 8 most intense peaks (15 to 90 degrees two-theta), by angle:
Position (°2θ)  I (rel.)
38.1  100
43.6  34
45.7  15
63.3  11
65.0  21
76.4  26
79.4  12
81.5  11


(2)
Tl3Pd12Pb: theoretical XRD peak list (λ = 1.5418 Å (Cu Kα)), based on DFT lattice parameters and positions (PBE).
Neutral-atom scattering factors, no anomalous dispersion.

Structural model:
```
Tl3Pd12Pb
1.0
4.092 0.000 0.000
0.000 4.092 0.000
0.000 0.000 16.355
Tl Pd Pb
3 12 1
direct
0.000 0.000 0.000
0.000 0.000 0.249
0.000 0.000 0.751
0.000 0.500 0.125
0.000 0.500 0.374
0.000 0.500 0.626
0.000 0.500 0.875
0.500 0.000 0.125
0.500 0.000 0.374
0.500 0.000 0.626
0.500 0.000 0.875
0.500 0.500 0.000
0.500 0.500 0.250
0.500 0.500 0.500
0.500 0.500 0.750
0.000 0.000 0.500
```

The 8 most intense peaks (15 to 90 degrees two-theta), by angle:
Position (°2θ)  I (rel.)
21.7  9
30.9  8
38.1  100
44.3  49
49.8  5
64.4  32
77.4  38
81.5  11


(3)
TlPd14Pb: theoretical XRD peak list (λ = 1.5418 Å (Cu Kα)), based on DFT lattice parameters and positions (PBE).
Neutral-atom scattering factors, no anomalous dispersion.

Structural model:
```
TlPd14Pb
1.0
5.778 0.000 0.000
0.000 5.778 0.000
0.000 0.000 7.789
Tl Pd Pb
1 14 1
direct
0.000 0.000 0.000
0.000 0.000 0.500
0.000 0.500 0.000
0.000 0.500 0.500
0.250 0.250 0.256
0.250 0.250 0.744
0.250 0.750 0.256
0.250 0.750 0.744
0.500 0.000 0.000
0.500 0.000 0.500
0.500 0.500 0.500
0.750 0.250 0.256
0.750 0.250 0.744
0.750 0.750 0.256
0.750 0.750 0.744
0.500 0.500 0.000
```

The 8 most intense peaks (15 to 90 degrees two-theta), by angle:
Position (°2θ)  I (rel.)
38.8  100
44.3  34
46.6  15
64.5  11
66.3  20
77.9  26
81.2  11
83.3  11


(4)
Tl2Pd7Pb: theoretical XRD peak list (λ = 1.5418 Å (Cu Kα)), based on DFT lattice parameters and positions (PBE).
Neutral-atom scattering factors, no anomalous dispersion.

Structural model:
```
Tl2Pd7Pb
1.0
3.721 -7.169 0.000
3.721 7.169 0.000
0.000 0.000 4.226
Tl Pd Pb
2 7 1
direct
0.194 0.806 0.000
0.806 0.194 0.000
0.000 0.000 0.000
0.218 0.416 0.000
0.311 0.689 0.500
0.416 0.218 0.000
0.584 0.782 0.000
0.689 0.311 0.500
0.782 0.584 0.000
0.500 0.500 0.500
```

The 8 most intense peaks (15 to 90 degrees two-theta), by angle:
Position (°2θ)  I (rel.)
21.0  30
23.9  32
25.0  43
34.8  24
39.9  100
42.8  85
45.1  26
75.4  21


(5)
Tl2Pd2Pb: theoretical XRD peak list (λ = 1.5418 Å (Cu Kα)), based on DFT lattice parameters and positions (PBE).
Neutral-atom scattering factors, no anomalous dispersion.

Structural model:
```
Tl2Pd2Pb
1.0
4.775 0.000 0.000
0.000 4.844 0.000
0.000 0.000 10.148
Tl Pd Pb
4 4 2
direct
0.250 0.250 0.001
0.250 0.250 0.326
0.750 0.750 0.674
0.750 0.750 0.999
0.250 0.750 0.501
0.250 0.750 0.833
0.750 0.250 0.167
0.750 0.250 0.499
0.250 0.250 0.670
0.750 0.750 0.330
```

The 8 most intense peaks (15 to 90 degrees two-theta), by angle:
Position (°2θ)  I (rel.)
26.2  28
26.3  13
37.1  26
37.5  100
37.7  25
53.9  18
67.2  18
67.9  27


(6)
TlPd8Pb2: theoretical XRD peak list (λ = 1.5418 Å (Cu Kα)), based on DFT lattice parameters and positions (PBE).
Neutral-atom scattering factors, no anomalous dispersion.

Structural model:
```
TlPd8Pb2
1.0
7.509 -2.087 0.000
7.509 2.087 0.000
-2.103 0.000 6.216
Tl Pd Pb
1 8 2
direct
0.000 0.000 0.000
0.087 0.087 0.459
0.174 0.174 0.919
0.353 0.353 0.795
0.464 0.464 0.269
0.536 0.536 0.731
0.647 0.647 0.205
0.826 0.826 0.081
0.913 0.913 0.541
0.289 0.289 0.338
0.711 0.711 0.662
```

The 8 most intense peaks (15 to 90 degrees two-theta), by angle:
Position (°2θ)  I (rel.)
37.1  90
38.2  100
42.9  27
43.4  35
45.1  27
62.6  17
64.3  19
76.2  22


Which formula does entry 6 have? TlPd8Pb2